For NbGa2Co, a structure optimized by DFT (PBE) gives the computed XRD peak list in this record (a wavelength of 1.5418 Å).
Neutral-atom scattering factors, no anomalous dispersion.

Most intense lines, 10 to 80 degrees two-theta, by intensity:
(hkl), 2θ/deg, I/Imax
2 2 0, 36.9, 100
1 1 2, 38.9, 94
3 1 2, 54.7, 61
4 0 0, 53.2, 30
2 0 4, 77.6, 22
2 1 1, 33.7, 17
5 1 2, 79.8, 16
3 3 2, 67.8, 14
3 0 1, 43.0, 8
4 4 0, 78.6, 7

```
NbGa2Co
1.0
6.887 0.000 0.000
0.000 6.887 0.000
0.000 0.000 5.269
Nb Ga Co
4 8 4
Direct
0.000 0.000 0.000 Nb
0.000 0.500 0.250 Nb
0.500 0.000 0.750 Nb
0.500 0.500 0.500 Nb
0.212 0.250 0.625 Ga
0.250 0.712 0.875 Ga
0.250 0.788 0.375 Ga
0.288 0.250 0.125 Ga
0.712 0.750 0.125 Ga
0.750 0.212 0.375 Ga
0.750 0.288 0.875 Ga
0.788 0.750 0.625 Ga
0.000 0.000 0.500 Co
0.000 0.500 0.750 Co
0.500 0.000 0.250 Co
0.500 0.500 0.000 Co
```